This entry pairs a crystal structure of Nd2Co2Si3 with its calculated powder X-ray diffraction pattern. Radiation: Cu Kα (weighted mean of Kα1 and Kα2). Structure: a GGA-PBE-relaxed structure.
Neutral-atom scattering factors, no anomalous dispersion.

Cell and atoms:
Unit cell a=9.0444 b=9.0444 c=6.6899 alpha=90.00 beta=90.00 gamma=153.16
Element x y z (fractional)
Nd: 0.0542 0.9458 0.7500
Nd: 0.1605 0.8395 0.2500
Nd: 0.8395 0.1605 0.7500
Nd: 0.9458 0.0542 0.2500
Co: 0.3067 0.6933 0.0570
Co: 0.3067 0.6933 0.4430
Co: 0.6933 0.3067 0.5570
Co: 0.6933 0.3067 0.9430
Si: 0.2227 0.7773 0.7500
Si: 0.4363 0.5637 0.5680
Si: 0.4363 0.5637 0.9320
Si: 0.5637 0.4363 0.0680
Si: 0.5637 0.4363 0.4320
Si: 0.7773 0.2227 0.2500

Most intense lines, 2θ = 10–90°, in order of rising 2θ:
| d_spacing | I_rel |
| --- | --- |
| 4.084 | 231 |
| 3.675 | 352 |
| 3.041 | 244 |
| 2.686 | 242 |
| 2.588 | 828 |
| 2.501 | 1000 |
| 2.099 | 426 |
| 1.989 | 368 |
| 1.566 | 192 |
| 1.444 | 254 |

=====

This entry pairs a crystal structure of Nd2Co3Si4 with its calculated powder X-ray diffraction pattern. Radiation: Cu Kα (weighted mean of Kα1 and Kα2). Structure: a GGA-PBE-relaxed structure.
Neutral-atom scattering factors, no anomalous dispersion.

Cell and atoms:
Unit cell a=7.5391 b=6.3896 c=5.4503 alpha=78.66 beta=56.20 gamma=45.14
Element x y z (fractional)
Nd: 0.1349 0.1349 0.8651
Nd: 0.8651 0.8651 0.1349
Co: 0.0000 0.0000 0.5000
Co: 0.5000 0.5000 0.0000
Co: 0.5000 0.5000 0.5000
Si: 0.1647 0.5316 0.4684
Si: 0.4684 0.8353 0.1647
Si: 0.5316 0.1647 0.8353
Si: 0.8353 0.4684 0.5316

Most intense lines, 2θ = 10–90°, in order of rising 2θ:
| d_spacing | I_rel |
| --- | --- |
| 4.272 | 336 |
| 2.966 | 892 |
| 2.651 | 371 |
| 2.617 | 283 |
| 2.489 | 336 |
| 2.390 | 473 |
| 2.295 | 532 |
| 2.230 | 1000 |
| 1.947 | 375 |
| 1.424 | 290 |

=====

This entry pairs a crystal structure of Nd3Sm5Co2 with its calculated powder X-ray diffraction pattern. Radiation: Cu Kα (weighted mean of Kα1 and Kα2). Structure: a GGA-PBE-relaxed structure.
Neutral-atom scattering factors, no anomalous dispersion.

Cell and atoms:
Unit cell a=9.9523 b=9.9523 c=9.9523 alpha=116.96 beta=81.99 gamma=133.31
Element x y z (fractional)
Nd: 0.1300 0.7392 0.8692
Nd: 0.2500 0.2500 0.0000
Nd: 0.3700 0.2392 0.6092
Nd: 0.6300 0.7608 0.3908
Nd: 0.7500 0.7500 0.0000
Nd: 0.8700 0.2608 0.1308
Sm: 0.0024 0.7500 0.2524
Sm: 0.1200 0.2580 0.3780
Sm: 0.2500 0.7500 0.5000
Sm: 0.3800 0.7580 0.1380
Sm: 0.4976 0.7500 0.7476
Sm: 0.5024 0.2500 0.2524
Sm: 0.6200 0.2420 0.8620
Sm: 0.7500 0.2500 0.5000
Sm: 0.8800 0.7420 0.6220
Sm: 0.9976 0.2500 0.7476
Co: 0.1321 0.0000 0.1321
Co: 0.3679 0.5000 0.8679
Co: 0.6321 0.5000 0.1321
Co: 0.8679 0.0000 0.8679

Most intense lines, 2θ = 10–90°, in order of rising 2θ:
| d_spacing | I_rel |
| --- | --- |
| 3.143 | 964 |
| 3.045 | 882 |
| 2.720 | 1000 |
| 2.602 | 436 |
| 1.972 | 204 |
| 1.880 | 823 |
| 1.655 | 305 |
| 1.612 | 269 |
| 1.571 | 187 |
| 1.523 | 161 |

=====

This entry pairs a crystal structure of Nd3SmCo with its calculated powder X-ray diffraction pattern. Radiation: Cu Kα (weighted mean of Kα1 and Kα2). Structure: a GGA-PBE-relaxed structure.
Neutral-atom scattering factors, no anomalous dispersion.

Cell and atoms:
Unit cell a=7.3570 b=7.3570 c=8.4484 alpha=124.88 beta=124.88 gamma=71.33
Element x y z (fractional)
Nd: 0.0454 0.0454 0.3374
Nd: 0.0461 0.4549 0.2086
Nd: 0.4549 0.0461 0.2086
Nd: 0.5451 0.9539 0.7914
Nd: 0.9539 0.5451 0.7914
Nd: 0.9546 0.9546 0.6626
Sm: 0.4551 0.4551 0.7499
Sm: 0.5449 0.5449 0.2501
Co: 0.2510 0.2510 0.8712
Co: 0.7490 0.7490 0.1288

Most intense lines, 2θ = 10–90°, in order of rising 2θ:
| d_spacing | I_rel |
| --- | --- |
| 3.013 | 1000 |
| 3.001 | 277 |
| 2.989 | 266 |
| 2.709 | 216 |
| 2.684 | 204 |
| 2.674 | 357 |
| 2.283 | 124 |
| 2.275 | 109 |
| 2.145 | 111 |
| 1.813 | 141 |

=====

This entry pairs a crystal structure of NdSm2Co2 with its calculated powder X-ray diffraction pattern. Radiation: Cu Kα (weighted mean of Kα1 and Kα2). Structure: a GGA-PBE-relaxed structure.
Neutral-atom scattering factors, no anomalous dispersion.

Cell and atoms:
Unit cell a=7.6525 b=7.6525 c=4.1068 alpha=90.00 beta=90.00 gamma=149.67
Element x y z (fractional)
Nd: 0.0000 0.0000 0.0000
Sm: 0.3511 0.6489 0.5000
Sm: 0.6489 0.3511 0.5000
Co: 0.2124 0.7876 0.0000
Co: 0.7876 0.2124 0.0000

Most intense lines, 2θ = 10–90°, in order of rising 2θ:
| d_spacing | I_rel |
| --- | --- |
| 3.106 | 628 |
| 2.814 | 1000 |
| 2.746 | 818 |
| 2.477 | 274 |
| 2.377 | 184 |
| 2.055 | 467 |
| 2.002 | 244 |
| 1.713 | 228 |
| 1.618 | 329 |
| 1.554 | 183 |

=====

This entry pairs a crystal structure of Nd2SmCo with its calculated powder X-ray diffraction pattern. Radiation: Cu Kα (weighted mean of Kα1 and Kα2). Structure: a GGA-PBE-relaxed structure.
Neutral-atom scattering factors, no anomalous dispersion.

Cell and atoms:
Unit cell a=3.7562 b=9.9282 c=6.3384 alpha=90.00 beta=107.22 gamma=90.00
Element x y z (fractional)
Nd: 0.1395 0.0731 0.2773
Nd: 0.1395 0.4269 0.2773
Nd: 0.8605 0.5731 0.7227
Nd: 0.8605 0.9269 0.7227
Sm: 0.4078 0.2500 0.8166
Sm: 0.5921 0.7500 0.1834
Co: 0.2635 0.7500 0.5272
Co: 0.7365 0.2500 0.4728

Most intense lines, 2θ = 10–90°, in order of rising 2θ:
| d_spacing | I_rel |
| --- | --- |
| 3.374 | 142 |
| 3.027 | 193 |
| 2.905 | 1000 |
| 2.750 | 134 |
| 2.650 | 409 |
| 2.432 | 168 |
| 2.405 | 152 |
| 1.878 | 125 |
| 1.610 | 120 |
| 1.577 | 222 |

=====

This entry pairs a crystal structure of Nd12SmCo6 with its calculated powder X-ray diffraction pattern. Radiation: Cu Kα (weighted mean of Kα1 and Kα2). Structure: a GGA-PBE-relaxed structure.
Neutral-atom scattering factors, no anomalous dispersion.

Cell and atoms:
Unit cell a=8.7479 b=8.7479 c=8.7479 alpha=109.47 beta=109.47 gamma=109.47
Element x y z (fractional)
Nd: 0.1157 0.3104 0.8053
Nd: 0.1947 0.5052 0.3104
Nd: 0.1947 0.8843 0.6896
Nd: 0.3104 0.1947 0.5052
Nd: 0.3104 0.8053 0.1157
Nd: 0.4948 0.6896 0.8053
Nd: 0.5052 0.3104 0.1947
Nd: 0.6896 0.1947 0.8843
Nd: 0.6896 0.8053 0.4948
Nd: 0.8053 0.1157 0.3104
Nd: 0.8053 0.4948 0.6896
Nd: 0.8843 0.6896 0.1947
Sm: 0.0000 0.0000 0.0000
Co: 0.1110 0.5000 0.6110
Co: 0.3890 0.8890 0.5000
Co: 0.5000 0.3890 0.8890
Co: 0.5000 0.6110 0.1110
Co: 0.6110 0.1110 0.5000
Co: 0.8890 0.5000 0.3890

Most intense lines, 2θ = 10–90°, in order of rising 2θ:
| d_spacing | I_rel |
| --- | --- |
| 3.194 | 496 |
| 2.916 | 505 |
| 2.700 | 1000 |
| 2.525 | 181 |
| 1.981 | 288 |
| 1.732 | 360 |
| 1.639 | 382 |
| 1.429 | 191 |
| 1.190 | 174 |
| 1.174 | 178 |

=====

This entry pairs a crystal structure of Nd3Co4Sn13 with its calculated powder X-ray diffraction pattern. Radiation: Cu Kα (weighted mean of Kα1 and Kα2). Structure: a GGA-PBE-relaxed structure.
Neutral-atom scattering factors, no anomalous dispersion.

Cell and atoms:
Unit cell a=9.6339 b=9.6339 c=9.6339 alpha=90.00 beta=90.00 gamma=90.00
Element x y z (fractional)
Nd: 0.0000 0.2500 0.5000
Nd: 0.0000 0.7500 0.5000
Nd: 0.2500 0.5000 0.0000
Nd: 0.5000 0.0000 0.2500
Nd: 0.5000 0.0000 0.7500
Nd: 0.7500 0.5000 0.0000
Co: 0.2500 0.2500 0.2500
Co: 0.2500 0.2500 0.7500
Co: 0.2500 0.7500 0.2500
Co: 0.2500 0.7500 0.7500
Co: 0.7500 0.2500 0.2500
Co: 0.7500 0.2500 0.7500
Co: 0.7500 0.7500 0.2500
Co: 0.7500 0.7500 0.7500
Sn: 0.0000 0.0000 0.0000
Sn: 0.0000 0.3022 0.1579
Sn: 0.0000 0.3022 0.8421
Sn: 0.0000 0.6978 0.1579
Sn: 0.0000 0.6978 0.8421
Sn: 0.1579 0.0000 0.3022
Sn: 0.1579 0.0000 0.6978
Sn: 0.1978 0.5000 0.3421
Sn: 0.1978 0.5000 0.6579
Sn: 0.3022 0.1579 0.0000
Sn: 0.3022 0.8421 0.0000
Sn: 0.3421 0.1978 0.5000
Sn: 0.3421 0.8022 0.5000
Sn: 0.5000 0.3421 0.1978
Sn: 0.5000 0.3421 0.8022
Sn: 0.5000 0.5000 0.5000
Sn: 0.5000 0.6579 0.1978
Sn: 0.5000 0.6579 0.8022
Sn: 0.6579 0.1978 0.5000
Sn: 0.6579 0.8022 0.5000
Sn: 0.6978 0.1579 0.0000
Sn: 0.6978 0.8421 0.0000
Sn: 0.8022 0.5000 0.3421
Sn: 0.8022 0.5000 0.6579
Sn: 0.8421 0.0000 0.3022
Sn: 0.8421 0.0000 0.6978

Most intense lines, 2θ = 10–90°, in order of rising 2θ:
| d_spacing | I_rel |
| --- | --- |
| 2.672 | 1000 |
| 2.575 | 358 |
| 2.408 | 183 |
| 2.337 | 120 |
| 1.967 | 119 |
| 1.652 | 136 |
| 1.563 | 175 |
| 1.452 | 89 |
| 1.376 | 111 |
| 1.098 | 95 |

=====

This entry pairs a crystal structure of Tb3NdCo with its calculated powder X-ray diffraction pattern. Radiation: Cu Kα (weighted mean of Kα1 and Kα2). Structure: a GGA-PBE-relaxed structure.
Neutral-atom scattering factors, no anomalous dispersion.

Cell and atoms:
Unit cell a=9.4345 b=6.4853 c=9.7702 alpha=90.00 beta=100.68 gamma=90.00
Element x y z (fractional)
Tb: 0.0573 0.0873 0.1773
Tb: 0.0573 0.4127 0.6773
Tb: 0.1945 0.5822 0.0753
Tb: 0.1945 0.9178 0.5753
Tb: 0.3219 0.0853 0.9468
Tb: 0.3219 0.4147 0.4468
Tb: 0.6781 0.5853 0.5532
Tb: 0.6781 0.9147 0.0532
Tb: 0.8055 0.0822 0.4247
Tb: 0.8055 0.4178 0.9247
Tb: 0.9427 0.5873 0.3227
Tb: 0.9427 0.9127 0.8227
Nd: 0.4337 0.5751 0.8174
Nd: 0.4337 0.9249 0.3174
Nd: 0.5663 0.0751 0.6826
Nd: 0.5663 0.4249 0.1826
Co: 0.0713 0.2358 0.4319
Co: 0.0713 0.2642 0.9319
Co: 0.9287 0.7358 0.0681
Co: 0.9287 0.7642 0.5681

Most intense lines, 2θ = 10–90°, in order of rising 2θ:
| d_spacing | I_rel |
| --- | --- |
| 3.210 | 282 |
| 3.063 | 626 |
| 2.880 | 1000 |
| 2.866 | 990 |
| 2.808 | 956 |
| 2.251 | 230 |
| 2.227 | 237 |
| 1.866 | 459 |
| 1.747 | 223 |
| 1.606 | 227 |

=====

This entry pairs a crystal structure of TbNdCo2 with its calculated powder X-ray diffraction pattern. Radiation: Cu Kα (weighted mean of Kα1 and Kα2). Structure: a GGA-PBE-relaxed structure.
Neutral-atom scattering factors, no anomalous dispersion.

Cell and atoms:
Unit cell a=3.8925 b=5.6935 c=7.6438 alpha=90.00 beta=90.00 gamma=90.00
Element x y z (fractional)
Tb: 0.0000 0.1300 0.0000
Tb: 0.0000 0.8700 0.5000
Nd: 0.5000 0.3685 0.3567
Nd: 0.5000 0.6315 0.8567
Co: 0.0000 0.3331 0.6544
Co: 0.0000 0.6669 0.1544
Co: 0.5000 0.1420 0.7095
Co: 0.5000 0.8580 0.2095

Most intense lines, 2θ = 10–90°, in order of rising 2θ:
| d_spacing | I_rel |
| --- | --- |
| 3.213 | 341 |
| 2.962 | 1000 |
| 2.727 | 948 |
| 2.668 | 971 |
| 2.460 | 688 |
| 2.326 | 720 |
| 2.201 | 783 |
| 1.946 | 411 |
| 1.572 | 389 |
| 1.493 | 348 |

=====

This entry pairs a crystal structure of TbNdCo3 with its calculated powder X-ray diffraction pattern. Radiation: Cu Kα (weighted mean of Kα1 and Kα2). Structure: a GGA-PBE-relaxed structure.
Neutral-atom scattering factors, no anomalous dispersion.

Cell and atoms:
Unit cell a=11.8641 b=11.8641 c=3.9231 alpha=90.00 beta=90.00 gamma=159.66
Element x y z (fractional)
Tb: 0.2055 0.7945 0.7500
Tb: 0.7945 0.2055 0.2500
Nd: 0.0711 0.9289 0.2500
Nd: 0.9289 0.0711 0.7500
Co: 0.3309 0.6691 0.7500
Co: 0.3778 0.6222 0.2500
Co: 0.4758 0.5242 0.2500
Co: 0.5242 0.4758 0.7500
Co: 0.6222 0.3778 0.7500
Co: 0.6691 0.3309 0.2500

Most intense lines, 2θ = 10–90°, in order of rising 2θ:
| d_spacing | I_rel |
| --- | --- |
| 3.256 | 276 |
| 2.688 | 1000 |
| 2.610 | 653 |
| 2.441 | 146 |
| 2.095 | 278 |
| 2.007 | 285 |
| 1.962 | 226 |
| 1.568 | 270 |
| 1.449 | 190 |
| 1.432 | 157 |

=====

This entry pairs a crystal structure of NdThCo3 with its calculated powder X-ray diffraction pattern. Radiation: Cu Kα (weighted mean of Kα1 and Kα2). Structure: a GGA-PBE-relaxed structure.
Neutral-atom scattering factors, no anomalous dispersion.

Cell and atoms:
Unit cell a=12.5910 b=12.5910 c=3.9802 alpha=90.00 beta=90.00 gamma=161.86
Element x y z (fractional)
Nd: 0.2010 0.7990 0.7500
Nd: 0.7990 0.2010 0.2500
Th: 0.0687 0.9313 0.2500
Th: 0.9313 0.0687 0.7500
Co: 0.3382 0.6618 0.7500
Co: 0.3842 0.6158 0.2500
Co: 0.4771 0.5229 0.2500
Co: 0.5229 0.4771 0.7500
Co: 0.6158 0.3842 0.7500
Co: 0.6618 0.3382 0.2500

Most intense lines, 2θ = 10–90°, in order of rising 2θ:
| d_spacing | I_rel |
| --- | --- |
| 3.352 | 433 |
| 3.108 | 183 |
| 2.662 | 1000 |
| 2.647 | 686 |
| 2.447 | 365 |
| 2.109 | 253 |
| 1.990 | 236 |
| 1.985 | 234 |
| 1.838 | 191 |
| 1.591 | 292 |